The following is a computed X-ray diffraction stick pattern of LaMoN4. It was derived from a crystal structure in Alexandria, relaxed with GGA-PBE, using Cu Kα (weighted mean of Kα1 and Kα2).
Lines closer than 0.1° are merged.

Largest 6 diffraction maxima, low angle first, 2θ from 10° to 80°:
| two_theta | I_rel | index |
| --- | --- | --- |
| 27.22 | 100 | 1 1 2 |
| 29.43 | 15 | 0 0 4 |
| 32.54 | 22 | 2 0 0 |
| 44.44 | 30 | 2 0 4 |
| 50.87 | 17 | 1 1 6 |
| 54.88 | 28 | 3 1 2 |

Atomic structure:
Cell lengths 5.5039, 5.5039, 12.1384 Å; angles 90.00, 90.00, 90.00 degrees
Space group I4_1/a (No. 88, origin choice 2)
Asymmetric unit:
1 La 0.0000 0.2500 0.1250
2 Mo 0.0000 0.2500 0.6250
3 N 0.1464 0.0050 0.7091